Simulated X-ray powder pattern of MgV6H6O18 for Cu Kα, from DFT lattice parameters and positions (PBE+U).
Peak positions follow from Bragg's law for the DFT cell and can differ from measured ones.

Top 10 peaks for 2θ from 15° to 90°, by intensity:
(1 -1 2), 2θ = 26.71°, 3.338 Å, intensity 100
(-1 1 2), 2θ = 26.60°, 3.351 Å, intensity 84
(0 1 1), 2θ = 15.14°, 5.852 Å, intensity 66
(1 1 0), 2θ = 23.95°, 3.716 Å, intensity 50
(0 2 -1), 2θ = 24.77°, 3.594 Å, intensity 36
(2 1 0), 2θ = 41.31°, 2.186 Å, intensity 29
(1 0 -2), 2θ = 26.13°, 3.410 Å, intensity 25
(1 -1 0), 2θ = 18.24°, 4.864 Å, intensity 25
(0 2 1), 2θ = 25.20°, 3.534 Å, intensity 24
(-1 2 2), 2θ = 31.68°, 2.824 Å, intensity 24

Structural model:
a b c (Å): 5.1845 8.0758 9.2112
angles (deg): 91.09 90.73 106.79
Space group P1 (No. 1)
Symmetry-distinct sites (fractional):
Mg 0.0000 0.0000 0.0000 x1
V 0.0157 0.2810 0.6706 x1
V 0.2774 0.4147 0.1702 x1
V 0.4592 0.1814 0.4797 x1
V 0.4599 0.2123 0.8453 x1
V 0.8230 0.5289 0.3767 x1
V 0.8283 0.5494 0.9697 x1
H 0.5386 0.9385 0.0781 x1
H 0.5650 0.9369 0.6683 x1
H 0.6541 0.9705 0.2395 x1
H 0.6587 0.7820 0.7637 x1
H 0.6616 0.7692 0.5851 x1
H 0.6839 0.7261 0.1787 x1
O 0.0576 0.1352 0.8115 x1
O 0.0639 0.2181 0.1338 x1
O 0.1128 0.1478 0.5206 x1
O 0.1402 0.5651 0.0400 x1
O 0.1428 0.5430 0.3181 x1
O 0.3194 0.4188 0.6960 x1
O 0.4101 0.0376 0.9583 x1
O 0.4852 0.0179 0.3792 x1
O 0.4924 0.3531 0.3335 x1
O 0.4970 0.3864 0.9990 x1
O 0.5631 0.1136 0.6642 x1
O 0.5652 0.8047 0.6725 x1
O 0.6799 0.9150 0.1445 x1
O 0.6978 0.6036 0.1804 x1
O 0.8111 0.3627 0.5241 x1
O 0.8156 0.3899 0.8154 x1
O 0.8187 0.7053 0.4692 x1
O 0.8335 0.7503 0.9080 x1